For Ba2CaV2P4O18, a GGA+U-relaxed structure gives the computed PXRD pattern in this record (Cu Kα, 1.54184 Å).

Structure:
```
data_Ba2CaV2P4O18
_chemical_formula_sum 'Ba4 Ca2 V4 P8 O36'
_space_group_name_H-M_alt 'P 1 c 1'
_space_group_IT_number 7
_cell_length_a 7.3910
_cell_length_b 7.1476
_cell_length_c 14.6001
_cell_angle_alpha 90.00
_cell_angle_beta 103.08
_cell_angle_gamma 90.00
loop_
_space_group_symop_operation_xyz
'x,y,z'
'x,-y,z+1/2'
loop_
_atom_site_label
_atom_site_type_symbol
_atom_site_fract_x
_atom_site_fract_y
_atom_site_fract_z
_atom_site_occupancy
Ba1 Ba 0.0000 0.0131 0.0000 1
Ba2 Ba 0.2449 0.4660 0.1483 1
Ca1 Ca 0.4545 0.2751 0.9200 1
V1 V 0.4655 0.2287 0.4081 1
V2 V 0.7912 0.2676 0.7417 1
P1 P 0.0890 0.4741 0.3814 1
P2 P 0.1797 0.0450 0.7676 1
P3 P 0.5010 0.0315 0.5779 1
P4 P 0.7566 0.4696 0.5769 1
O1 O 0.1506 0.3603 0.9488 1
O2 O 0.1628 0.0957 0.1893 1
O3 O 0.2805 0.0355 0.3688 1
O4 O 0.2829 0.4103 0.3561 1
O5 O 0.2856 0.2257 0.7601 1
O6 O 0.3515 0.1842 0.5501 1
O7 O 0.4270 0.1679 0.0714 1
O8 O 0.5736 0.2191 0.3242 1
O9 O 0.6008 0.4331 0.4843 1
O10 O 0.6094 0.0449 0.4921 1
O11 O 0.6421 0.0722 0.6709 1
O12 O 0.6488 0.4563 0.6607 1
O13 O 0.6942 0.2708 0.8331 1
O14 O 0.8416 0.3423 0.0663 1
O15 O 0.8978 0.3075 0.6050 1
O16 O 0.9753 0.4615 0.7825 1
O17 O 0.9797 0.0913 0.7847 1
O18 O 0.9965 0.3161 0.4201 1
```

The 10 most intense peaks (2θ from 10° to 90°), in order of rising 2θ:
two_theta  d_spacing  I/Imax
12.3  7.199  30
17.6  5.040  60
25.1  3.552  37
27.7  3.215  45
27.9  3.198  63
28.0  3.182  100
28.3  3.158  65
30.3  2.953  33
31.8  2.815  33
45.9  1.977  31

=====

For BaCaVP2O9, a GGA+U-relaxed structure gives the computed PXRD pattern in this record (Cu Kα, 1.54184 Å).

Structure:
```
data_BaCaVP2O9
_chemical_formula_sum 'Ba4 Ca4 V4 P8 O36'
_space_group_name_H-M_alt 'P 1 21/c 1'
_space_group_IT_number 14
_cell_length_a 7.4171
_cell_length_b 7.1645
_cell_length_c 14.6294
_cell_angle_alpha 90.00
_cell_angle_beta 101.62
_cell_angle_gamma 90.00
loop_
_space_group_symop_operation_xyz
'x,y,z'
'-x,-y,-z'
'-x,y+1/2,-z+1/2'
'x,-y+1/2,z+1/2'
loop_
_atom_site_label
_atom_site_type_symbol
_atom_site_fract_x
_atom_site_fract_y
_atom_site_fract_z
_atom_site_occupancy
Ba1 Ba 0.1213 0.2324 0.0727 1
Ca1 Ca 0.3118 0.0189 0.8371 1
V1 V 0.3436 0.5145 0.8346 1
P1 P 0.0381 0.7234 0.1976 1
P2 P 0.3810 0.7270 0.9973 1
O1 O 0.0041 0.6192 0.6250 1
O2 O 0.1320 0.5478 0.1720 1
O3 O 0.1535 0.7158 0.7957 1
O4 O 0.1604 0.1815 0.2816 1
O5 O 0.2448 0.5613 0.9721 1
O6 O 0.2833 0.5835 0.4933 1
O7 O 0.4561 0.5257 0.7473 1
O8 O 0.4791 0.2046 0.4086 1
O9 O 0.4902 0.7242 0.9140 1
```

The 10 most intense peaks (2θ from 10° to 90°), in order of rising 2θ:
two_theta  d_spacing  I/Imax
17.5  5.066  27
25.2  3.540  33
27.5  3.240  35
27.8  3.207  100
28.1  3.174  36
28.3  3.149  48
29.7  3.005  28
31.5  2.839  35
45.7  1.987  24
46.5  1.951  23